The following is a simulated powder X-ray diffraction pattern of Ti6TlPb2. It was derived from a PBE-relaxed structure, using Cu Kα X-rays.
Neutral-atom scattering factors, no anomalous dispersion.

Principal peaks in the range 10 to 90 degrees two-theta, most intense first:
2θ/deg	I (rel.)
37.91	100
21.35	67
40.71	41
34.33	37
21.76	28
37.19	28
58.79	18
75.32	15
54.87	12
49.18	10
73.53	10
72.28	9

Crystal structure
Cell lengths 8.456, 8.456, 8.456 Å; angles 159.70, 122.25, 61.87 degrees
Atoms (fractional coordinates):
Ti 0.151 0.828 0.323
Ti 0.172 0.000 0.172
Ti 0.495 0.172 0.323
Ti 0.505 0.828 0.677
Ti 0.828 0.000 0.828
Ti 0.849 0.172 0.677
Tl 0.500 0.500 0.000
Pb 0.154 0.654 0.500
Pb 0.846 0.346 0.500

The following is a simulated powder X-ray diffraction pattern of Sr2Ga7Au. It was derived from a PBE-relaxed structure, using Cu Kα X-rays.
Neutral-atom scattering factors, no anomalous dispersion.

Principal peaks in the range 10 to 90 degrees two-theta, most intense first:
2θ/deg	I (rel.)
32.90	100
40.68	56
31.71	38
43.85	32
69.13	23
46.16	20
58.89	19
52.48	18
82.75	18
63.19	15
16.16	15
58.42	12

Crystal structure
Cell lengths 4.435, 4.435, 10.971 Å; angles 90.00, 90.00, 90.00 degrees
Atoms (fractional coordinates):
Sr 0.000 0.500 0.250
Sr 0.500 0.000 0.750
Ga 0.000 0.000 0.000
Ga 0.000 0.000 0.500
Ga 0.000 0.500 0.634
Ga 0.000 0.500 0.866
Ga 0.500 0.000 0.134
Ga 0.500 0.000 0.366
Ga 0.500 0.500 0.500
Au 0.500 0.500 0.000

The following is a simulated powder X-ray diffraction pattern of Pr2Ho3Mg3. It was derived from a PBE-relaxed structure, using Cu Kα X-rays.
Neutral-atom scattering factors, no anomalous dispersion.

Principal peaks in the range 10 to 90 degrees two-theta, most intense first:
2θ/deg	I (rel.)
32.67	100
25.62	33
32.97	26
23.53	24
31.64	22
58.68	19
46.34	15
20.14	13
54.62	13
43.02	12
55.25	12
40.90	11

Crystal structure
Cell lengths 3.836, 5.434, 22.621 Å; angles 90.00, 90.00, 90.00 degrees
Atoms (fractional coordinates):
Pr 0.000 0.000 0.233
Pr 0.000 0.000 0.767
Pr 0.500 0.500 0.267
Pr 0.500 0.500 0.733
Ho 0.000 0.000 0.000
Ho 0.000 0.500 0.121
Ho 0.000 0.500 0.879
Ho 0.500 0.000 0.379
Ho 0.500 0.000 0.621
Ho 0.500 0.500 0.500
Mg 0.000 0.000 0.500
Mg 0.000 0.500 0.387
Mg 0.000 0.500 0.613
Mg 0.500 0.000 0.113
Mg 0.500 0.000 0.887
Mg 0.500 0.500 0.000